Theoretical powder XRD pattern of NaSrP2O6 for Cu Ka, from the GGA-PBE geometry in Alexandria.
Intensities are scaled so that the largest is 100.

Cell and atoms:
Cell: 7.162 7.162 6.028 Å, 102.50 102.50 89.00°
Element x y z (fractional)
Na: 0.186 0.814 0.750
Na: 0.814 0.186 0.250
Sr: 0.378 0.622 0.250
Sr: 0.622 0.378 0.750
P: 0.141 0.287 0.735
P: 0.287 0.141 0.235
P: 0.713 0.859 0.765
P: 0.859 0.713 0.265
O: 0.066 0.665 0.356
O: 0.129 0.217 0.053
O: 0.217 0.129 0.553
O: 0.281 0.463 0.825
O: 0.335 0.934 0.144
O: 0.463 0.281 0.325
O: 0.537 0.719 0.675
O: 0.665 0.066 0.856
O: 0.719 0.537 0.175
O: 0.783 0.871 0.447
O: 0.871 0.783 0.947
O: 0.934 0.335 0.644

Top 6 peaks for 2θ from 10° to 90°, in order of falling intensity:
2θ 26.82, intensity 100
2θ 32.77, intensity 39
2θ 31.14, intensity 38
2θ 30.93, intensity 37
2θ 28.92, intensity 36
2θ 17.71, intensity 30